Ac4Cu3NiO12: calculated XRD peak list (λ = 1.5418 Å (Cu Kα)), based on a cell relaxed with PBE+U.
Intensities are scaled so that the largest is 1000.

The 8 most intense peaks (2θ = 10–80°), by intensity:
2theta, d (Å), I_rel
32.1, 2.790, 1000
57.2, 1.611, 400
22.5, 3.946, 282
46.0, 1.973, 281
39.6, 2.278, 207
76.3, 1.248, 174
67.1, 1.395, 173
51.8, 1.764, 144

```
data_Ac4Cu3NiO12
_chemical_formula_sum 'Ac4 Cu3 Ni1 O12'
_space_group_name_H-M_alt 'P 1'
_space_group_IT_number 1
_space_group_name_Hall 'P 1'
_cell_length_a 6.834
_cell_length_b 6.834
_cell_length_c 6.834
_cell_angle_alpha 109.47
_cell_angle_beta 109.47
_cell_angle_gamma 109.47
loop_
_atom_site_label
_atom_site_fract_x
_atom_site_fract_y
_atom_site_fract_z
Ac1 0.000 0.000 0.500
Ac2 0.000 0.500 0.000
Ac3 0.500 0.000 0.000
Ac4 0.500 0.500 0.500
Cu1 0.000 0.500 0.500
Cu2 0.500 0.000 0.500
Cu3 0.500 0.500 0.000
Ni1 0.000 0.000 0.000
O1 0.000 0.255 0.255
O2 0.000 0.745 0.745
O3 0.250 0.500 0.750
O4 0.250 0.750 0.500
O5 0.255 0.000 0.255
O6 0.255 0.255 0.000
O7 0.500 0.250 0.750
O8 0.500 0.750 0.250
O9 0.745 0.000 0.745
O10 0.745 0.745 0.000
O11 0.750 0.250 0.500
O12 0.750 0.500 0.250
```